For Ce2SmHo3Te6, a crystal structure in Alexandria, relaxed with GGA-PBE gives the calculated PXRD pattern in this record (Cu Ka).
Intensities are scaled so that the largest is 100.

```
Ce2SmHo3Te6
1.0
9.6533 -2.1806 0.0000
9.6533 2.1806 0.0000
-2.2555 0.0000 8.6170
Ce Sm Ho Te
2 1 3 6
direct
0.1671 0.1671 0.3345 Ce
0.8329 0.8329 0.6655 Ce
0.5000 0.5000 0.0000 Sm
0.1663 0.1663 0.8328 Ho
0.5000 0.5000 0.5000 Ho
0.8337 0.8337 0.1672 Ho
0.0026 0.0026 0.7452 Te
0.3313 0.3313 0.9243 Te
0.3365 0.3365 0.4094 Te
0.6635 0.6635 0.5906 Te
0.6687 0.6687 0.0757 Te
0.9974 0.9974 0.2548 Te
```

The 10 most intense peaks (2θ = 15–90°), by angle:
| 2θ (°) | I (rel.) |
| --- | --- |
| 28.66 | 100.0 |
| 40.52 | 12.9 |
| 40.63 | 25.6 |
| 41.36 | 37.2 |
| 49.80 | 7.0 |
| 51.15 | 13.3 |
| 59.34 | 12.6 |
| 66.72 | 11.5 |
| 67.72 | 11.4 |
| 74.98 | 8.4 |



For Y2Pd7Pt3, a crystal structure in Alexandria, relaxed with GGA-PBE gives the calculated PXRD pattern in this record (Cu Ka).
Intensities are scaled so that the largest is 100.

```
Y2Pd7Pt3
1.0
4.9423 0.0000 0.0000
-1.7076 5.5008 0.0000
-0.8069 -1.5185 7.5518
Y Pd Pt
2 7 3
direct
0.0095 0.1957 0.1809 Y
0.9905 0.8043 0.8191 Y
0.0000 0.0000 0.5000 Pd
0.4817 0.4057 0.6580 Pd
0.4898 0.7423 0.0130 Pd
0.4990 0.9160 0.6641 Pd
0.5010 0.0840 0.3359 Pd
0.5102 0.2577 0.9870 Pd
0.5183 0.5943 0.3420 Pd
0.0000 0.5000 0.5000 Pt
0.0050 0.6887 0.1780 Pt
0.9950 0.3113 0.8220 Pt
```

The 10 most intense peaks (2θ = 15–90°), by angle:
| 2θ (°) | I (rel.) |
| --- | --- |
| 37.57 | 96.3 |
| 37.81 | 100.0 |
| 38.45 | 94.8 |
| 38.65 | 93.3 |
| 43.50 | 64.6 |
| 44.30 | 61.8 |
| 45.11 | 58.9 |
| 64.50 | 20.7 |
| 77.09 | 23.3 |
| 78.04 | 21.4 |